Entry 1:
Theoretical powder XRD pattern of Sr3CaZn for Cu Kα, from a cell relaxed with GGA-PBE.
No peak broadening, texture or thermal motion is included.

Top 8 peaks for 10 to 90 degrees two-theta, by angle:
2θ (°)	I/Imax
11.2	50
25.2	75
25.6	94
27.4	68
27.6	100
29.1	49
30.8	50
41.5	49

Atomic structure:
Cell lengths 4.3556, 9.9784, 11.0098 Å; angles 77.16, 78.81, 77.54 degrees
Fractional positions:
Sr 0.0874 0.2828 0.0489
Sr 0.3236 0.5563 0.2986
Sr 0.3509 0.0607 0.7375
Sr 0.6491 0.9393 0.2625
Sr 0.6764 0.4437 0.7014
Sr 0.9126 0.7172 0.9511
Ca 0.0671 0.7938 0.5711
Ca 0.9329 0.2062 0.4289
Zn 0.2629 0.9319 0.0414
Zn 0.7371 0.0681 0.9586

Entry 2:
Theoretical powder XRD pattern of SrCa2Zn9 for Cu Kα, from a cell relaxed with GGA-PBE.
No peak broadening, texture or thermal motion is included.

Top 8 peaks for 10 to 90 degrees two-theta, by angle:
2θ (°)	I/Imax
31.9	20
37.1	29
38.2	100
41.0	30
41.8	27
61.0	24
66.6	24
81.8	20

Atomic structure:
Cell lengths 9.2333, 9.2333, 9.2333 Å; angles 35.41, 35.41, 35.41 degrees
Fractional positions:
Sr 0.0000 0.0000 0.0000
Ca 0.1438 0.1438 0.1438
Ca 0.8562 0.8562 0.8562
Zn 0.0755 0.5863 0.5863
Zn 0.3352 0.3352 0.3352
Zn 0.4137 0.4137 0.9245
Zn 0.4137 0.9245 0.4137
Zn 0.5000 0.5000 0.5000
Zn 0.5863 0.0755 0.5863
Zn 0.5863 0.5863 0.0755
Zn 0.6648 0.6648 0.6648
Zn 0.9245 0.4137 0.4137

Entry 3:
Theoretical powder XRD pattern of SrCa7Zn2 for Cu Kα, from a cell relaxed with GGA-PBE.
No peak broadening, texture or thermal motion is included.

Top 8 peaks for 10 to 90 degrees two-theta, by angle:
2θ (°)	I/Imax
19.4	64
27.2	29
31.1	100
33.6	72
36.0	21
39.1	22
48.2	29
58.5	30

Atomic structure:
Cell lengths 13.8293, 13.8293, 13.8293 Å; angles 157.75, 157.75, 31.67 degrees
Fractional positions:
Sr 0.0000 0.0000 0.0000
Ca 0.1143 0.6143 0.5000
Ca 0.2500 0.7500 0.5000
Ca 0.3857 0.8857 0.5000
Ca 0.5000 0.5000 0.0000
Ca 0.6143 0.1143 0.5000
Ca 0.7500 0.2500 0.5000
Ca 0.8857 0.3857 0.5000
Zn 0.3201 0.3201 0.0000
Zn 0.6799 0.6799 0.0000

Entry 4:
Theoretical powder XRD pattern of Sr3CaZr for Cu Kα, from a cell relaxed with GGA-PBE.
No peak broadening, texture or thermal motion is included.

Top 8 peaks for 10 to 90 degrees two-theta, by angle:
2θ (°)	I/Imax
14.4	63
25.0	55
29.0	100
32.5	36
41.4	74
49.0	26
51.3	26
68.0	33

Atomic structure:
Cell lengths 6.1657, 6.1657, 6.1657 Å; angles 90.00, 90.00, 90.00 degrees
Fractional positions:
Sr 0.0000 0.0000 0.5000
Sr 0.0000 0.5000 0.0000
Sr 0.5000 0.0000 0.0000
Ca 0.5000 0.5000 0.5000
Zr 0.0000 0.0000 0.0000